This entry pairs a crystal structure of Na2MgCu2O4 with its computed powder diffractogram. Radiation: Cu Kα X-rays. Structure: a DFT-relaxed cell (PBE, the Materials Project).
Peak positions follow from Bragg's law for the DFT cell and can differ from measured ones.

Largest 10 diffraction maxima, in order of rising 2θ, 5° ≤ 2θ ≤ 70°:
- 11.32 deg, I = 46, (0 0 1)
- 17.90 deg, I = 38, (2 0 -1)
- 22.76 deg, I = 100, (0 0 2)
- 23.77 deg, I = 69, (2 0 1)
- 33.01 deg, I = 80, (2 0 2)
- 35.07 deg, I = 65, (1 1 1)
- 43.16 deg, I = 80, (3 1 -2)
- 48.75 deg, I = 40, (3 1 -3)
- 53.83 deg, I = 34, (5 1 -1)
- 55.11 deg, I = 35, (1 1 -4)

```
data_Na2MgCu2O4
_chemical_formula_sum 'Na4 Mg2 Cu4 O8'
_space_group_name_H-M_alt 'C 1 m 1'
_space_group_IT_number 8
_space_group_name_Hall 'C -2y'
_cell_length_a 10.528
_cell_length_b 2.901
_cell_length_c 8.192
_cell_angle_alpha 90.00
_cell_angle_beta 107.48
_cell_angle_gamma 90.00
loop_
_atom_site_label
_atom_site_type_symbol
_atom_site_fract_x
_atom_site_fract_y
_atom_site_fract_z
_atom_site_occupancy
Na1 Na 0.000 0.000 0.000 1
Na2 Na 0.246 0.000 0.734 1
Mg1 Mg 0.081 0.500 0.340 1
Cu1 Cu 0.297 0.500 0.194 1
Cu2 Cu 0.473 0.000 0.613 1
O1 O 0.057 0.000 0.508 1
O2 O 0.181 0.000 0.242 1
O3 O 0.403 0.000 0.142 1
O4 O 0.406 0.500 0.719 1
```

This entry pairs a crystal structure of Cs4CuSi2O7 with its computed powder diffractogram. Radiation: Cu Kα X-rays. Structure: a DFT-relaxed cell (PBE, the Materials Project).
Peak positions follow from Bragg's law for the DFT cell and can differ from measured ones.

Largest 10 diffraction maxima, in order of rising 2θ, 5° ≤ 2θ ≤ 70°:
- 24.49 deg, I = 27, (1 0 -2)
- 24.71 deg, I = 20, (1 -2 0)
- 24.97 deg, I = 27, (0 2 -1)
- 25.75 deg, I = 30, (1 1 -2)
- 26.09 deg, I = 100, (1 1 0)
- 27.45 deg, I = 57, (-2 1 1)
- 27.99 deg, I = 49, (0 0 2)
- 29.38 deg, I = 20, (0 2 -2)
- 30.66 deg, I = 55, (-1 2 1)
- 35.43 deg, I = 33, (2 1 -2)

```
data_Cs4CuSi2O7
_chemical_formula_sum 'Cs4 Cu1 Si2 O7'
_space_group_name_H-M_alt 'P -1'
_space_group_IT_number 2
_space_group_name_Hall '-P 1'
_cell_length_a 6.618
_cell_length_b 7.568
_cell_length_c 7.621
_cell_angle_alpha 106.37
_cell_angle_beta 110.50
_cell_angle_gamma 109.30
loop_
_atom_site_label
_atom_site_type_symbol
_atom_site_fract_x
_atom_site_fract_y
_atom_site_fract_z
_atom_site_occupancy
Cs1 Cs 0.105 0.370 0.275 1
Cs2 Cs 0.212 0.236 0.774 1
Cu1 Cu 0.500 0.000 0.500 1
Si1 Si 0.491 0.865 0.778 1
O1 O 0.263 0.847 0.576 1
O2 O 0.270 0.991 0.238 1
O3 O 0.463 0.640 0.766 1
O4 O 0.500 0.000 0.000 1
```

This entry pairs a crystal structure of MgTi2Al4O10 with its computed powder diffractogram. Radiation: Cu Kα X-rays. Structure: a DFT-relaxed cell (PBE, the Materials Project).
Peak positions follow from Bragg's law for the DFT cell and can differ from measured ones.

Largest 10 diffraction maxima, in order of rising 2θ, 5° ≤ 2θ ≤ 70°:
- 9.06 deg, I = 32, (0 0 1)
- 25.87 deg, I = 100, (1 1 0)
- 31.87 deg, I = 32, (1 1 2)
- 32.76 deg, I = 74, (2 0 -3)
- 33.20 deg, I = 41, (2 0 3)
- 40.80 deg, I = 27, (4 0 -2)
- 41.28 deg, I = 31, (4 0 2)
- 49.60 deg, I = 67, (0 2 0)
- 56.52 deg, I = 26, (0 0 6)
- 60.73 deg, I = 30, (2 2 -3)

```
data_MgTi2Al4O10
_chemical_formula_sum 'Mg2 Ti4 Al8 O20'
_space_group_name_H-M_alt 'C 1 m 1'
_space_group_IT_number 8
_space_group_name_Hall 'C -2y'
_cell_length_a 9.854
_cell_length_b 3.676
_cell_length_c 9.767
_cell_angle_alpha 90.00
_cell_angle_beta 90.80
_cell_angle_gamma 90.00
loop_
_atom_site_label
_atom_site_type_symbol
_atom_site_fract_x
_atom_site_fract_y
_atom_site_fract_z
_atom_site_occupancy
Mg1 Mg 0.000 0.000 0.000 1
Ti1 Ti 0.130 0.500 0.786 1
Ti2 Ti 0.392 0.000 0.296 1
Al1 Al 0.168 0.500 0.171 1
Al2 Al 0.191 0.500 0.489 1
Al3 Al 0.301 0.000 0.976 1
Al4 Al 0.370 0.000 0.650 1
O1 O 0.046 0.500 0.604 1
O2 O 0.083 0.500 0.338 1
O3 O 0.150 0.000 0.852 1
O4 O 0.182 0.000 0.132 1
O5 O 0.264 0.000 0.483 1
O6 O 0.284 0.500 0.992 1
O7 O 0.305 0.500 0.655 1
O8 O 0.332 0.500 0.278 1
O9 O 0.425 0.000 0.834 1
O10 O 0.477 0.000 0.093 1
```

This entry pairs a crystal structure of Nb3V5B8Ir4 with its computed powder diffractogram. Radiation: Cu Kα X-rays. Structure: a DFT-relaxed cell (PBE, the Materials Project).
Peak positions follow from Bragg's law for the DFT cell and can differ from measured ones.

Largest 10 diffraction maxima, in order of rising 2θ, 5° ≤ 2θ ≤ 70°:
- 15.37 deg, I = 50, (1 0 -1)
- 22.55 deg, I = 17, (1 0 -2)
- 30.35 deg, I = 22, (1 1 0)
- 31.86 deg, I = 36, (1 1 -1)
- 38.12 deg, I = 24, (3 0 1)
- 38.48 deg, I = 33, (0 0 4)
- 41.76 deg, I = 18, (3 0 2)
- 42.09 deg, I = 100, (2 1 -2)
- 42.20 deg, I = 31, (1 1 -3)
- 49.80 deg, I = 22, (4 0 0)

```
data_Nb3V5B8Ir4
_chemical_formula_sum 'Nb3 V5 B8 Ir4'
_space_group_name_H-M_alt 'P 1 m 1'
_space_group_IT_number 6
_space_group_name_Hall 'P -2y'
_cell_length_a 7.318
_cell_length_b 3.217
_cell_length_c 9.359
_cell_angle_alpha 90.00
_cell_angle_beta 90.14
_cell_angle_gamma 90.00
loop_
_atom_site_label
_atom_site_type_symbol
_atom_site_fract_x
_atom_site_fract_y
_atom_site_fract_z
_atom_site_occupancy
Nb1 Nb 0.000 0.000 0.000 1
Nb2 Nb 0.145 0.500 0.498 1
Nb3 Nb 0.644 0.000 0.741 1
V1 V 0.253 0.000 0.736 1
V2 V 0.394 0.000 0.010 1
V3 V 0.508 0.500 0.240 1
V4 V 0.750 0.500 0.504 1
V5 V 0.891 0.500 0.235 1
B1 B 0.206 0.500 0.105 1
B2 B 0.213 0.500 0.910 1
B3 B 0.433 0.500 0.833 1
B4 B 0.442 0.500 0.636 1
B5 B 0.695 0.000 0.141 1
B6 B 0.704 0.000 0.331 1
B7 B 0.931 0.000 0.407 1
B8 B 0.940 0.000 0.601 1
Ir1 Ir 0.196 0.000 0.261 1
Ir2 Ir 0.457 0.000 0.474 1
Ir3 Ir 0.686 0.500 0.983 1
Ir4 Ir 0.956 0.500 0.761 1
```